# 1
Starting from DFT lattice parameters and positions (PBE+U), the PXRD pattern of Mg6NbCrO8 was calculated for Cu Kα X-rays.

Peak list (10 most intense, 2θ from 15° to 90°, sorted by position)
hkl 0 0 2, 2θ 19.96, d 4.447, I = 19.6
hkl 1 1 0, 2θ 29.42, d 3.036, I = 14.2
hkl 1 1 1, 2θ 31.13, d 2.873, I = 24.8
hkl 1 1 2, 2θ 35.81, d 2.507, I = 50.7
hkl 0 0 4, 2θ 40.57, d 2.224, I = 54.3
hkl 2 0 0, 2θ 42.09, d 2.147, I = 100.0
hkl 2 0 4, 2θ 59.89, d 1.544, I = 59.6
hkl 2 2 0, 2θ 61.05, d 1.518, I = 28.8
hkl 3 1 2, 2θ 72.84, d 1.298, I = 15.9
hkl 2 2 4, 2θ 75.90, d 1.254, I = 26.9

Cell lengths 4.293, 4.293, 8.895 Å; angles 90.00, 90.00, 90.00 degrees
Space group P4/mmm (No. 123)
Symmetry-distinct sites (fractional):
Mg: 0.000 0.000 0.000
Mg: 0.000 0.500 0.240
Mg: 0.500 0.500 0.000
Nb: 0.000 0.000 0.500
Cr: 0.500 0.500 0.500
O: 0.000 0.000 0.239
O: 0.000 0.500 0.000
O: 0.000 0.500 0.500
O: 0.500 0.500 0.234


# 2
Starting from DFT lattice parameters and positions (PBE+U), the PXRD pattern of KZrMnBiO6 was calculated for Cu Kα X-rays.

Peak list (10 most intense, 2θ from 15° to 90°, sorted by position)
hkl 1 1 1, 2θ 19.23, d 4.617, I = 45.6
hkl 2 2 0, 2θ 31.65, d 2.827, I = 100.0
hkl 3 1 1, 2θ 37.30, d 2.411, I = 28.7
hkl 2 2 2, 2θ 39.02, d 2.308, I = 10.9
hkl 4 0 0, 2θ 45.37, d 1.999, I = 32.8
hkl 3 3 1, 2θ 49.70, d 1.835, I = 13.6
hkl 4 2 2, 2θ 56.37, d 1.632, I = 38.9
hkl 3 3 3, 2θ 60.13, d 1.539, I = 10.2
hkl 4 4 0, 2θ 66.10, d 1.414, I = 19.5
hkl 6 2 0, 2θ 75.14, d 1.264, I = 17.1

Cell lengths 7.996, 7.996, 7.996 Å; angles 90.00, 90.00, 90.00 degrees
Space group F-43m (No. 216)
Symmetry-distinct sites (fractional):
K: 0.000 0.000 0.000
Zr: 0.250 0.250 0.250
Mn: 0.250 0.250 0.750
Bi: 0.000 0.000 0.500
O: 0.011 0.250 0.750


# 3
Starting from DFT lattice parameters and positions (PBE+U), the PXRD pattern of NaLaCeNiO6 was calculated for Cu Kα X-rays.

Peak list (10 most intense, 2θ from 15° to 90°, sorted by position)
hkl 1 1 1, 2θ 19.10, d 4.647, I = 33.1
hkl 2 0 0, 2θ 22.09, d 4.025, I = 7.2
hkl 2 2 0, 2θ 31.44, d 2.846, I = 100.0
hkl 3 1 1, 2θ 37.04, d 2.427, I = 21.4
hkl 4 0 0, 2θ 45.05, d 2.012, I = 33.9
hkl 3 3 1, 2θ 49.35, d 1.847, I = 10.8
hkl 4 2 2, 2θ 55.97, d 1.643, I = 38.6
hkl 3 3 3, 2θ 59.69, d 1.549, I = 6.8
hkl 4 4 0, 2θ 65.61, d 1.423, I = 19.9
hkl 6 2 0, 2θ 74.57, d 1.273, I = 17.2

Cell lengths 8.049, 8.049, 8.049 Å; angles 90.00, 90.00, 90.00 degrees
Space group F-43m (No. 216)
Symmetry-distinct sites (fractional):
Na: 0.000 0.000 0.000
La: 0.000 0.000 0.500
Ce: 0.250 0.250 0.750
Ni: 0.250 0.250 0.250
O: 0.019 0.250 0.250